Simulated PXRD pattern of Co2P3O9 for Cu Kα X-rays, from a DFT-relaxed cell (GGA+U, Alexandria).
No peak broadening, texture or thermal motion is included.

Atomic structure:
```
data_Co2P3O9
_cell_length_a 6.3943
_cell_length_b 6.3943
_cell_length_c 9.5790
_cell_angle_alpha 90.00
_cell_angle_beta 90.00
_cell_angle_gamma 120.00
_symmetry_space_group_name_H-M 'P 63/m c m'
_symmetry_Int_Tables_number 193
_symmetry_space_group_name_Hall '-P 6c 2'
loop_
_atom_site_label
_atom_site_type_symbol
_atom_site_fract_x
_atom_site_fract_y
_atom_site_fract_z
Co1 Co 0.3333 0.6667 0.0000
P1 P 0.0000 0.2676 0.2500
O1 O 0.0000 0.2263 0.7500
O2 O 0.0000 0.3856 0.1136
```

The 10 most intense peaks (15 to 90 degrees two-theta), in order of rising 2θ:
| h k l | 2theta | intensity |
| --- | --- | --- |
| 1 0 2 | 24.57 | 100.0 |
| 1 1 1 | 29.45 | 41.7 |
| 1 1 2 | 33.71 | 93.6 |
| 2 1 0 | 43.23 | 18.8 |
| 1 1 4 | 47.43 | 18.5 |
| 3 0 0 | 49.37 | 31.2 |
| 2 0 4 | 50.38 | 20.2 |
| 2 1 4 | 58.57 | 16.2 |
| 2 2 2 | 61.12 | 15.6 |
| 3 0 4 | 63.63 | 18.3 |